For LiMnO2, a structure optimized by DFT (PBE+U) gives the simulated XRD peak list in this record (Cu Kα).
Lines closer than 0.1° are merged.

Principal peaks in the range 2θ from 5° to 70°, by angle:
hkl  Position (°2θ)  I/Imax
0 1 0  19.46  964
0 1 -1  19.61  1000
1 0 1  28.51  419
1 0 -2  29.04  336
0 2 -1  36.62  233
1 1 1  41.97  758
1 1 -3  42.79  708
2 -2 0  43.29  662
0 0 4  61.44  245
3 -1 1  61.88  414

Structure:
a = 5.1361 Å, b = 5.1714 Å, c = 6.6991 Å
α = 105.06°, β = 104.32°, γ = 108.41°
Atoms (fractional coordinates):
Li: 0.0602 0.3148 0.1342
Li: 0.3380 0.5729 0.6273
Li: 0.6620 0.4271 0.3727
Li: 0.9398 0.6852 0.8658
Mn: 0.1851 0.9269 0.3712
Mn: 0.4456 0.2000 0.8806
Mn: 0.5544 0.8000 0.1194
Mn: 0.8149 0.0731 0.6288
O: 0.0838 0.8652 0.6355
O: 0.2248 0.4488 0.8830
O: 0.3101 0.0283 0.1320
O: 0.4099 0.6896 0.3775
O: 0.5901 0.3104 0.6225
O: 0.6899 0.9717 0.8680
O: 0.7752 0.5512 0.1170
O: 0.9162 0.1348 0.3645